Diffraction record for SmDySc2. The powder diffraction line list is computed, not measured: it uses a cell relaxed with PBE and Cu Kα.
Neutral-atom scattering factors, no anomalous dispersion.

Structure:
```
data_SmDySc2
_symmetry_space_group_name_H-M 'P -3 m 1'
_symmetry_Int_Tables_number 164
_symmetry_space_group_name_Hall '-P 3 2"'
_cell_length_a 3.4437
_cell_length_b 3.4437
_cell_length_c 10.9719
_cell_angle_alpha 90.00
_cell_angle_beta 90.00
_cell_angle_gamma 120.00
loop_
_atom_site_label
_atom_site_type_symbol
_atom_site_fract_x
_atom_site_fract_y
_atom_site_fract_z
Sm1 Sm 0.0000 0.0000 0.0000
Dy1 Dy 0.0000 0.0000 0.5000
Sc1 Sc 0.3333 0.6667 0.2516
```

Main lines, in order of falling intensity (15° ≤ 2θ ≤ 90°):
d_spacing, Rel. int.
2.620, 100.0
2.982, 39.4
5.486, 38.1
2.019, 26.6
2.743, 24.0
1.559, 20.3
1.458, 20.1
1.722, 17.7
1.439, 15.4
1.104, 13.5